1.
The following is a calculated PXRD pattern of Ho2TeO6. It was derived from a DFT-relaxed cell (PBE, the Materials Project), using Cu Kα, 1.54184 Å.
Intensities are scaled so that the largest is 100.

Structure:
```
data_Ho2TeO6
_symmetry_space_group_name_H-M 'P 21 21 21'
_symmetry_Int_Tables_number 19
_cell_length_a 5.2998
_cell_length_b 9.0993
_cell_length_c 9.9879
_cell_angle_alpha 90.00
_cell_angle_beta 90.00
_cell_angle_gamma 90.00
loop_
_symmetry_equiv_pos_as_xyz
'x,y,z'
'-x+1/2,-y,z+1/2'
'x+1/2,-y+1/2,-z'
'-x,y+1/2,-z+1/2'
loop_
_atom_site_label
_atom_site_type_symbol
_atom_site_fract_x
_atom_site_fract_y
_atom_site_fract_z
Ho1 Ho 0.0254 0.1031 0.4607
Ho2 Ho 0.0354 0.2179 0.8651
Te1 Te 0.0409 0.4946 0.3533
O1 O 0.0809 0.8444 0.0248
O2 O 0.1762 0.9507 0.2960
O3 O 0.1808 0.6427 0.8211
O4 O 0.1871 0.6415 0.2371
O5 O 0.2273 0.1155 0.0639
O6 O 0.2478 0.4132 0.9942
```

Top 10 peaks for 2θ from 10° to 80°, low angle first:
Position (°2θ)  intensity  h k l
25.81  49.9  1 2 0
26.41  92.8  1 1 2
27.33  100.0  1 2 1
28.55  32.0  0 1 3
30.81  35.0  0 3 1
33.27  59.0  1 1 3
33.83  36.3  2 0 0
34.60  24.7  0 3 2
46.40  31.5  2 3 1
54.07  31.2  1 5 1



2.
The following is a calculated PXRD pattern of Ho2TeO6. It was derived from a DFT-relaxed cell (PBE, the Materials Project), using Cu Kα, 1.54184 Å.
Intensities are scaled so that the largest is 100.

Structure:
```
data_Ho2TeO6
_symmetry_space_group_name_H-M 'P 42/m n m'
_symmetry_Int_Tables_number 136
_symmetry_space_group_name_Hall '-P 4n 2n'
_cell_length_a 4.9779
_cell_length_b 4.9779
_cell_length_c 10.0539
_cell_angle_alpha 90.00
_cell_angle_beta 90.00
_cell_angle_gamma 90.00
loop_
_atom_site_label
_atom_site_type_symbol
_atom_site_fract_x
_atom_site_fract_y
_atom_site_fract_z
Ho1 Ho 0.0000 0.0000 0.1655
Te1 Te 0.0000 0.0000 0.5000
O1 O 0.1835 0.1835 0.3535
O2 O 0.2213 0.2213 0.0000
```

Top 10 peaks for 2θ from 10° to 80°, low angle first:
Position (°2θ)  intensity  h k l
25.30  100.0  1 1 0
32.20  87.8  1 0 3
36.09  25.9  2 0 0
49.13  68.2  2 1 3
51.96  16.4  2 2 0
58.65  16.6  3 1 0
61.27  16.6  1 1 6
62.45  19.5  3 0 3
67.37  9.7  2 0 6
74.30  15.2  3 2 3



3.
The following is a calculated PXRD pattern of Ho2TeO2. It was derived from a DFT-relaxed cell (PBE, the Materials Project), using Cu Kα, 1.54184 Å.
Intensities are scaled so that the largest is 100.

Structure:
```
data_Ho2TeO2
_symmetry_space_group_name_H-M 'P 63/m m c'
_symmetry_Int_Tables_number 194
_symmetry_space_group_name_Hall '-P 6c 2c'
_cell_length_a 3.8923
_cell_length_b 3.8923
_cell_length_c 14.3782
_cell_angle_alpha 90.00
_cell_angle_beta 90.00
_cell_angle_gamma 120.00
loop_
_atom_site_label
_atom_site_type_symbol
_atom_site_fract_x
_atom_site_fract_y
_atom_site_fract_z
Ho1 Ho 0.3333 0.6667 0.0975
Te1 Te 0.0000 0.0000 0.2500
O1 O 0.3333 0.6667 0.5603
```

Top 10 peaks for 2θ from 10° to 80°, low angle first:
Position (°2θ)  intensity  h k l
27.17  59.8  1 0 1
29.26  80.8  1 0 2
32.47  100.0  1 0 3
36.54  74.7  1 0 4
37.53  34.0  0 0 6
46.67  69.9  1 1 0
52.15  31.8  1 0 7
58.01  20.2  2 0 3
61.37  47.6  1 1 6
77.53  17.8  2 1 3



4.
The following is a calculated PXRD pattern of Ho2TeO6. It was derived from a DFT-relaxed cell (PBE, the Materials Project), using Cu Kα, 1.54184 Å.
Intensities are scaled so that the largest is 100.

Structure:
```
data_Ho2TeO6
_symmetry_space_group_name_H-M 'P 3 2 1'
_symmetry_Int_Tables_number 150
_cell_length_a 9.1572
_cell_length_b 9.1572
_cell_length_c 5.1841
_cell_angle_alpha 90.00
_cell_angle_beta 90.00
_cell_angle_gamma 120.00
loop_
_symmetry_equiv_pos_as_xyz
'x,y,z'
'-y,x-y,z'
'-x+y,-x,z'
'y,x,-z'
'x-y,-y,-z'
'-x,-x+y,-z'
loop_
_atom_site_label
_atom_site_type_symbol
_atom_site_fract_x
_atom_site_fract_y
_atom_site_fract_z
Ho1 Ho 0.0000 0.2855 0.0000
Ho2 Ho 0.0000 0.6225 0.5000
Te1 Te 0.0000 0.0000 0.5000
Te2 Te 0.3333 0.6667 0.0050
O1 O 0.0821 0.8810 0.2906
O2 O 0.1327 0.5435 0.2186
O3 O 0.2228 0.7589 0.7914
```

Top 10 peaks for 2θ from 10° to 80°, low angle first:
Position (°2θ)  intensity  h k l
25.96  100.0  1 1 1
28.34  38.8  0 2 1
29.81  14.8  2 1 0
33.91  38.1  3 0 0
34.59  29.6  0 0 2
43.20  13.8  2 2 1
46.31  11.8  1 2 2
49.23  44.8  0 3 2
53.37  22.9  3 2 1
56.96  11.1  1 1 3



5.
The following is a calculated PXRD pattern of HoTiO3. It was derived from a DFT-relaxed cell (PBE, the Materials Project), using Cu Kα, 1.54184 Å.
Intensities are scaled so that the largest is 100.

Structure:
```
data_HoTiO3
_symmetry_space_group_name_H-M 'P n m a'
_symmetry_Int_Tables_number 62
_cell_length_a 5.6925
_cell_length_b 7.6745
_cell_length_c 5.3281
_cell_angle_alpha 90.00
_cell_angle_beta 90.00
_cell_angle_gamma 90.00
loop_
_symmetry_equiv_pos_as_xyz
'x,y,z'
'-x,-y,-z'
'-x+1/2,-y,z+1/2'
'x+1/2,y,-z+1/2'
'x+1/2,-y+1/2,-z+1/2'
'-x+1/2,y+1/2,z+1/2'
'-x,y+1/2,-z'
'x,-y+1/2,z'
loop_
_atom_site_label
_atom_site_type_symbol
_atom_site_fract_x
_atom_site_fract_y
_atom_site_fract_z
Ho1 Ho 0.0719 0.2500 0.0192
Ti1 Ti 0.0000 0.0000 0.5000
O1 O 0.0463 0.7500 0.3787
O2 O 0.1953 0.5594 0.8132
```

Top 10 peaks for 2θ from 10° to 80°, low angle first:
Position (°2θ)  intensity  h k l
22.86  30.4  1 0 1
23.18  20.8  0 2 0
25.67  28.5  1 1 1
31.43  16.4  2 0 0
32.78  100.0  1 2 1
33.62  42.7  0 0 2
46.70  15.2  2 0 2
48.27  17.8  2 1 2
52.57  23.5  3 1 1
59.62  21.8  1 2 3



6.
The following is a calculated PXRD pattern of HoTi2ZnO6. It was derived from a DFT-relaxed cell (PBE, the Materials Project), using Cu Kα, 1.54184 Å.
Intensities are scaled so that the largest is 100.

Structure:
```
data_HoTi2ZnO6
_symmetry_space_group_name_H-M 'P m n 21'
_symmetry_Int_Tables_number 31
_cell_length_a 7.6385
_cell_length_b 5.4953
_cell_length_c 5.2731
_cell_angle_alpha 90.00
_cell_angle_beta 90.00
_cell_angle_gamma 90.00
loop_
_symmetry_equiv_pos_as_xyz
'x,y,z'
'-x+1/2,-y,z+1/2'
'-x,y,z'
'x+1/2,-y,z+1/2'
loop_
_atom_site_label
_atom_site_type_symbol
_atom_site_fract_x
_atom_site_fract_y
_atom_site_fract_z
Ho1 Ho 0.0000 0.1769 0.0000
Ti1 Ti 0.2479 0.2683 0.4860
Zn1 Zn 0.0000 0.7333 0.4789
O1 O 0.0000 0.2990 0.5906
O2 O 0.0000 0.7845 0.8552
O3 O 0.1893 0.9418 0.2948
O4 O 0.1897 0.4433 0.1715
```

Top 10 peaks for 2θ from 10° to 80°, low angle first:
Position (°2θ)  intensity  h k l
19.90  12.6  1 1 0
20.47  16.7  1 0 1
23.34  27.8  2 0 0
26.17  14.0  1 1 1
32.59  19.3  0 2 0
33.24  100.0  2 1 1
34.00  23.8  0 0 2
47.62  14.8  4 0 0
47.81  19.1  0 2 2
60.37  24.1  2 1 3